Calculated powder XRD pattern
Compound: Mn2Zn3Si4O14
Radiation: Cu Ka
Structure: a crystal structure in Alexandria, relaxed with PBE+U
Lines closer than 0.1° are merged.

Structure:
Cell lengths 9.173, 9.173, 10.012 Å; angles 119.42, 119.42, 50.57 degrees
Positions (direct):
Mn (0.000, 0.000, 0.000)
Mn (0.000, 0.000, 0.500)
Mn (0.207, 0.793, 0.750)
Mn (0.793, 0.207, 0.250)
Zn (0.045, 0.281, 0.892)
Zn (0.281, 0.045, 0.392)
Zn (0.403, 0.597, 0.250)
Zn (0.597, 0.403, 0.750)
Zn (0.719, 0.955, 0.608)
Zn (0.955, 0.719, 0.108)
Si (0.094, 0.540, 0.799)
Si (0.244, 0.516, 0.397)
Si (0.460, 0.906, 0.701)
Si (0.484, 0.756, 0.103)
Si (0.516, 0.244, 0.897)
Si (0.540, 0.094, 0.299)
Si (0.756, 0.484, 0.603)
Si (0.906, 0.460, 0.201)
O (0.036, 0.760, 0.828)
O (0.037, 0.114, 0.411)
O (0.057, 0.507, 0.367)
O (0.093, 0.498, 0.939)
O (0.114, 0.037, 0.911)
O (0.178, 0.688, 0.327)
O (0.240, 0.964, 0.672)
O (0.312, 0.822, 0.173)
O (0.318, 0.382, 0.780)
O (0.349, 0.547, 0.589)
O (0.382, 0.318, 0.280)
O (0.453, 0.651, 0.911)
O (0.493, 0.943, 0.133)
O (0.498, 0.093, 0.439)
O (0.502, 0.907, 0.561)
O (0.507, 0.057, 0.867)
O (0.547, 0.349, 0.089)
O (0.618, 0.682, 0.720)
O (0.651, 0.453, 0.411)
O (0.682, 0.618, 0.220)
O (0.688, 0.178, 0.827)
O (0.760, 0.036, 0.328)
O (0.822, 0.312, 0.673)
O (0.886, 0.963, 0.089)
O (0.907, 0.502, 0.061)
O (0.943, 0.493, 0.633)
O (0.963, 0.886, 0.589)
O (0.964, 0.240, 0.172)

Most intense lines, 15° ≤ 2θ ≤ 90°, by angle:
2θ (°), Rel. int.
27.73, 89.3
29.15, 24.3
29.49, 77.5
30.78, 100.0
35.97, 26.3
38.13, 25.1
38.80, 23.5
39.24, 32.6
41.48, 34.5
44.07, 27.3